Ho5Er2Tm2: computed powder X-ray diffraction pattern (Cu Kα (weighted mean of Kα1 and Kα2)), based on DFT lattice parameters and positions (GGA-PBE).

Atomic structure:
a = 7.838 Å, b = 7.838 Å, c = 7.838 Å
α = 107.44°, β = 107.44°, γ = 36.78°
Element x y z (fractional)
Ho1 0.000 0.000 0.000
Ho2 0.222 0.222 0.334
Ho3 0.333 0.333 0.000
Ho4 0.667 0.667 0.000
Ho5 0.778 0.778 0.666
Er1 0.111 0.111 0.666
Er2 0.889 0.889 0.334
Tm1 0.445 0.445 0.666
Tm2 0.555 0.555 0.334

Top 10 peaks for 2θ from 15° to 90°, sorted by position:
d = 2.860 Å, rel. 100; d = 2.477 Å, rel. 51; d = 1.751 Å, rel. 36; d = 1.495 Å, rel. 28; d = 1.492 Å, rel. 14; d = 1.430 Å, rel. 12; d = 1.137 Å, rel. 6; d = 1.136 Å, rel. 12; d = 1.108 Å, rel. 11; d = 1.106 Å, rel. 6

---

Ho2Er3Tm3: computed powder X-ray diffraction pattern (Cu Kα (weighted mean of Kα1 and Kα2)), based on DFT lattice parameters and positions (GGA-PBE).

Atomic structure:
a = 4.941 Å, b = 4.942 Å, c = 19.786 Å
α = 90.00°, β = 90.00°, γ = 90.00°
Element x y z (fractional)
Ho1 0.000 0.000 0.250
Ho2 0.000 0.000 0.750
Ho3 0.500 0.500 0.250
Ho4 0.500 0.500 0.750
Er1 0.000 0.000 0.000
Er2 0.000 0.500 0.125
Er3 0.000 0.500 0.875
Er4 0.500 0.000 0.375
Er5 0.500 0.000 0.625
Er6 0.500 0.500 0.500
Tm1 0.000 0.000 0.500
Tm2 0.000 0.500 0.375
Tm3 0.000 0.500 0.625
Tm4 0.500 0.000 0.125
Tm5 0.500 0.000 0.875
Tm6 0.500 0.500 0.000

Top 8 peaks for 2θ from 15° to 90°, sorted by position:
d = 2.854 Å, rel. 100; d = 2.472 Å, rel. 51; d = 1.748 Å, rel. 36; d = 1.490 Å, rel. 43; d = 1.427 Å, rel. 12; d = 1.236 Å, rel. 6; d = 1.134 Å, rel. 18; d = 1.105 Å, rel. 17

---

Ho14ErTm: computed powder X-ray diffraction pattern (Cu Kα (weighted mean of Kα1 and Kα2)), based on DFT lattice parameters and positions (GGA-PBE).

Atomic structure:
a = 11.034 Å, b = 6.859 Å, c = 6.859 Å
α = 71.88°, β = 90.00°, γ = 90.00°
Element x y z (fractional)
Ho1 0.000 0.000 0.000
Ho2 0.000 0.448 0.448
Ho3 0.000 0.521 0.932
Ho4 0.000 0.932 0.521
Ho5 0.233 0.241 0.241
Ho6 0.251 0.311 0.729
Ho7 0.251 0.729 0.311
Ho8 0.268 0.799 0.799
Ho9 0.500 0.107 0.518
Ho10 0.500 0.518 0.107
Ho11 0.732 0.799 0.799
Ho12 0.749 0.311 0.729
Ho13 0.749 0.729 0.311
Ho14 0.767 0.241 0.241
Er1 0.500 0.590 0.590
Tm1 0.500 0.039 0.039

Top 10 peaks for 2θ from 15° to 90°, sorted by position:
d = 3.126 Å, rel. 10; d = 2.872 Å, rel. 17; d = 2.806 Å, rel. 100; d = 2.776 Å, rel. 14; d = 2.759 Å, rel. 33; d = 2.693 Å, rel. 12; d = 1.957 Å, rel. 10; d = 1.711 Å, rel. 9; d = 1.602 Å, rel. 17; d = 1.454 Å, rel. 10

---

Ho4ErTm10: computed powder X-ray diffraction pattern (Cu Kα (weighted mean of Kα1 and Kα2)), based on DFT lattice parameters and positions (GGA-PBE).

Atomic structure:
a = 9.271 Å, b = 9.271 Å, c = 9.271 Å
α = 99.56°, β = 99.56°, γ = 131.91°
Element x y z (fractional)
Ho1 0.100 0.700 0.801
Ho2 0.300 0.100 0.400
Ho3 0.700 0.900 0.600
Ho4 0.900 0.300 0.199
Er1 0.500 0.500 0.000
Tm1 0.050 0.350 0.900
Tm2 0.151 0.050 0.701
Tm3 0.250 0.750 0.500
Tm4 0.350 0.450 0.299
Tm5 0.450 0.151 0.100
Tm6 0.550 0.849 0.900
Tm7 0.650 0.550 0.701
Tm8 0.750 0.250 0.500
Tm9 0.849 0.950 0.299
Tm10 0.950 0.650 0.100

Top 10 peaks for 2θ from 15° to 90°, sorted by position:
d = 4.369 Å, rel. 25; d = 3.783 Å, rel. 15; d = 2.675 Å, rel. 100; d = 2.281 Å, rel. 14; d = 1.893 Å, rel. 12; d = 1.889 Å, rel. 6; d = 1.736 Å, rel. 6; d = 1.545 Å, rel. 38; d = 1.338 Å, rel. 12; d = 1.197 Å, rel. 11

---

Ho2Er8Tm3: computed powder X-ray diffraction pattern (Cu Kα (weighted mean of Kα1 and Kα2)), based on DFT lattice parameters and positions (GGA-PBE).

Atomic structure:
a = 10.716 Å, b = 10.716 Å, c = 5.510 Å
α = 90.00°, β = 90.00°, γ = 139.13°
Element x y z (fractional)
Ho1 0.241 0.759 0.000
Ho2 0.759 0.241 0.000
Er1 0.133 0.867 0.500
Er2 0.179 0.395 0.000
Er3 0.334 0.666 0.500
Er4 0.395 0.179 0.000
Er5 0.605 0.821 0.000
Er6 0.666 0.334 0.500
Er7 0.821 0.605 0.000
Er8 0.867 0.133 0.500
Tm1 0.000 0.000 0.000
Tm2 0.283 0.283 0.500
Tm3 0.717 0.717 0.500

Top 10 peaks for 2θ from 15° to 90°, sorted by position:
d = 3.506 Å, rel. 19; d = 2.978 Å, rel. 27; d = 2.861 Å, rel. 31; d = 2.755 Å, rel. 39; d = 2.635 Å, rel. 100; d = 2.510 Å, rel. 13; d = 2.166 Å, rel. 10; d = 1.856 Å, rel. 10; d = 1.566 Å, rel. 27; d = 1.548 Å, rel. 9

---

Ho7Er12Tm: computed powder X-ray diffraction pattern (Cu Kα (weighted mean of Kα1 and Kα2)), based on DFT lattice parameters and positions (GGA-PBE).

Atomic structure:
a = 10.823 Å, b = 10.823 Å, c = 10.823 Å
α = 115.97°, β = 115.97°, γ = 115.97°
Element x y z (fractional)
Ho1 0.000 0.000 0.000
Ho2 0.128 0.432 0.294
Ho3 0.294 0.128 0.432
Ho4 0.432 0.294 0.128
Ho5 0.568 0.706 0.872
Ho6 0.706 0.872 0.568
Ho7 0.872 0.568 0.706
Er1 0.001 0.213 0.427
Er2 0.213 0.427 0.001
Er3 0.234 0.754 0.296
Er4 0.246 0.704 0.766
Er5 0.296 0.234 0.754
Er6 0.427 0.001 0.213
Er7 0.573 0.999 0.787
Er8 0.704 0.766 0.246
Er9 0.754 0.296 0.234
Er10 0.766 0.246 0.704
Er11 0.787 0.573 0.999
Er12 0.999 0.787 0.573
Tm1 0.500 0.500 0.500

Top 10 peaks for 2θ from 15° to 90°, sorted by position:
d = 3.469 Å, rel. 22; d = 3.192 Å, rel. 65; d = 3.059 Å, rel. 18; d = 2.893 Å, rel. 65; d = 2.734 Å, rel. 20; d = 2.647 Å, rel. 100; d = 2.447 Å, rel. 26; d = 2.147 Å, rel. 37; d = 1.568 Å, rel. 23; d = 1.521 Å, rel. 20

---

Ho4ErTm5: computed powder X-ray diffraction pattern (Cu Kα (weighted mean of Kα1 and Kα2)), based on DFT lattice parameters and positions (GGA-PBE).

Atomic structure:
a = 6.179 Å, b = 6.599 Å, c = 9.049 Å
α = 72.39°, β = 89.97°, γ = 62.09°
Element x y z (fractional)
Ho1 0.000 0.000 0.000
Ho2 0.067 0.200 0.301
Ho3 0.400 0.199 0.799
Ho4 0.467 0.400 0.100
Er1 0.800 0.400 0.600
Tm1 0.200 0.600 0.400
Tm2 0.267 0.800 0.699
Tm3 0.600 0.800 0.201
Tm4 0.667 0.000 0.500
Tm5 0.867 0.600 0.900

Top 10 peaks for 2θ from 15° to 90°, sorted by position:
d = 3.092 Å, rel. 24; d = 2.776 Å, rel. 24; d = 2.701 Å, rel. 100; d = 2.065 Å, rel. 16; d = 1.785 Å, rel. 20; d = 1.588 Å, rel. 20; d = 1.501 Å, rel. 22; d = 1.490 Å, rel. 11; d = 1.186 Å, rel. 8; d = 1.096 Å, rel. 9

---

Ho6Er2Tm: computed powder X-ray diffraction pattern (Cu Kα (weighted mean of Kα1 and Kα2)), based on DFT lattice parameters and positions (GGA-PBE).

Atomic structure:
a = 8.761 Å, b = 8.761 Å, c = 8.901 Å
α = 115.70°, β = 115.70°, γ = 82.42°
Element x y z (fractional)
Ho1 0.003 0.303 0.907
Ho2 0.029 0.806 0.513
Ho3 0.194 0.971 0.987
Ho4 0.205 0.386 0.369
Ho5 0.303 0.003 0.407
Ho6 0.386 0.205 0.869
Ho7 0.614 0.795 0.131
Ho8 0.697 0.997 0.593
Ho9 0.795 0.614 0.631
Ho10 0.806 0.029 0.013
Ho11 0.971 0.194 0.487
Ho12 0.997 0.697 0.093
Er1 0.219 0.563 0.805
Er2 0.437 0.781 0.695
Er3 0.563 0.219 0.305
Er4 0.781 0.437 0.195
Tm1 0.414 0.586 0.250
Tm2 0.586 0.414 0.750

Top 10 peaks for 2θ from 15° to 90°, sorted by position:
d = 3.018 Å, rel. 24; d = 2.886 Å, rel. 37; d = 2.873 Å, rel. 66; d = 2.854 Å, rel. 69; d = 2.795 Å, rel. 100; d = 2.748 Å, rel. 14; d = 2.683 Å, rel. 30; d = 2.349 Å, rel. 27; d = 2.339 Å, rel. 26; d = 1.601 Å, rel. 27

---

Ho10Er4Tm: computed powder X-ray diffraction pattern (Cu Kα (weighted mean of Kα1 and Kα2)), based on DFT lattice parameters and positions (GGA-PBE).

Atomic structure:
a = 9.299 Å, b = 9.299 Å, c = 9.299 Å
α = 99.58°, β = 99.58°, γ = 131.84°
Element x y z (fractional)
Ho1 0.050 0.350 0.899
Ho2 0.151 0.050 0.700
Ho3 0.250 0.750 0.500
Ho4 0.350 0.451 0.300
Ho5 0.451 0.151 0.101
Ho6 0.549 0.849 0.899
Ho7 0.650 0.549 0.700
Ho8 0.750 0.250 0.500
Ho9 0.849 0.950 0.300
Ho10 0.950 0.650 0.101
Er1 0.100 0.701 0.801
Er2 0.299 0.100 0.400
Er3 0.701 0.900 0.600
Er4 0.900 0.299 0.199
Tm1 0.500 0.500 0.000

Top 10 peaks for 2θ from 15° to 90°, sorted by position:
d = 4.383 Å, rel. 26; d = 3.796 Å, rel. 13; d = 2.684 Å, rel. 100; d = 2.289 Å, rel. 15; d = 1.898 Å, rel. 18; d = 1.742 Å, rel. 6; d = 1.698 Å, rel. 5; d = 1.550 Å, rel. 38; d = 1.342 Å, rel. 12; d = 1.200 Å, rel. 17

---

HoErTm14: computed powder X-ray diffraction pattern (Cu Kα (weighted mean of Kα1 and Kα2)), based on DFT lattice parameters and positions (GGA-PBE).

Atomic structure:
a = 10.885 Å, b = 6.821 Å, c = 6.821 Å
α = 72.50°, β = 90.00°, γ = 90.00°
Element x y z (fractional)
Ho1 0.000 0.000 0.000
Er1 0.000 0.448 0.448
Tm1 0.000 0.516 0.924
Tm2 0.000 0.924 0.516
Tm3 0.231 0.209 0.209
Tm4 0.250 0.139 0.721
Tm5 0.250 0.721 0.139
Tm6 0.270 0.650 0.650
Tm7 0.500 0.344 0.936
Tm8 0.500 0.412 0.412
Tm9 0.500 0.861 0.861
Tm10 0.500 0.936 0.344
Tm11 0.730 0.650 0.650
Tm12 0.750 0.139 0.721
Tm13 0.750 0.721 0.139
Tm14 0.769 0.209 0.209

Top 10 peaks for 2θ from 15° to 90°, sorted by position:
d = 3.117 Å, rel. 9; d = 2.846 Å, rel. 16; d = 2.792 Å, rel. 100; d = 2.750 Å, rel. 15; d = 2.721 Å, rel. 32; d = 2.667 Å, rel. 11; d = 1.934 Å, rel. 10; d = 1.703 Å, rel. 9; d = 1.584 Å, rel. 16; d = 1.444 Å, rel. 10

---

HoEr4Tm2: computed powder X-ray diffraction pattern (Cu Kα (weighted mean of Kα1 and Kα2)), based on DFT lattice parameters and positions (GGA-PBE).

Atomic structure:
a = 6.111 Å, b = 3.528 Å, c = 19.657 Å
α = 90.00°, β = 90.01°, γ = 90.00°
Element x y z (fractional)
Ho1 0.000 0.000 0.000
Ho2 0.500 0.500 0.000
Er1 0.166 0.500 0.142
Er2 0.167 0.500 0.856
Er3 0.334 0.000 0.428
Er4 0.334 0.000 0.712
Er5 0.666 0.000 0.142
Er6 0.667 0.000 0.856
Er7 0.834 0.500 0.428
Er8 0.834 0.500 0.712
Tm1 0.000 0.000 0.285
Tm2 0.001 0.000 0.569
Tm3 0.500 0.500 0.285
Tm4 0.501 0.500 0.569

Top 10 peaks for 2θ from 15° to 90°, sorted by position:
d = 3.019 Å, rel. 38; d = 2.808 Å, rel. 50; d = 2.769 Å, rel. 100; d = 2.595 Å, rel. 87; d = 2.234 Å, rel. 16; d = 1.764 Å, rel. 38; d = 1.653 Å, rel. 21; d = 1.543 Å, rel. 19; d = 1.494 Å, rel. 45; d = 1.099 Å, rel. 17

---

Ho3Er2Tm5: computed powder X-ray diffraction pattern (Cu Kα (weighted mean of Kα1 and Kα2)), based on DFT lattice parameters and positions (GGA-PBE).

Atomic structure:
a = 9.347 Å, b = 9.347 Å, c = 9.344 Å
α = 108.46°, β = 108.46°, γ = 111.50°
Element x y z (fractional)
Ho1 0.024 0.269 0.047
Ho2 0.231 0.769 0.750
Ho3 0.269 0.024 0.547
Ho4 0.731 0.976 0.453
Ho5 0.769 0.231 0.250
Ho6 0.976 0.731 0.953
Er1 0.228 0.469 0.452
Er2 0.469 0.228 0.952
Er3 0.531 0.772 0.048
Er4 0.772 0.531 0.548
Tm1 0.026 0.974 0.750
Tm2 0.140 0.370 0.760
Tm3 0.271 0.729 0.250
Tm4 0.370 0.140 0.260
Tm5 0.472 0.528 0.250
Tm6 0.528 0.472 0.750
Tm7 0.630 0.860 0.740
Tm8 0.729 0.271 0.750
Tm9 0.860 0.630 0.240
Tm10 0.974 0.026 0.250

Top 10 peaks for 2θ from 15° to 90°, sorted by position:
d = 2.888 Å, rel. 100; d = 2.731 Å, rel. 11; d = 2.630 Å, rel. 23; d = 2.443 Å, rel. 11; d = 2.313 Å, rel. 17; d = 1.821 Å, rel. 10; d = 1.564 Å, rel. 16; d = 1.497 Å, rel. 11; d = 1.384 Å, rel. 21; d = 1.110 Å, rel. 11